[1]
MgTl4Mo2O8: computed PXRD pattern (copper Kα), based on a DFT-relaxed cell (GGA+U, the Materials Project).
Kinematic intensities with the Lorentz-polarization factor, no thermal factor.

Crystal structure
```
data_MgTl4Mo2O8
_chemical_formula_sum 'Mg1 Tl4 Mo2 O8'
_space_group_name_H-M_alt 'P 1'
_space_group_IT_number 1
_space_group_name_Hall 'P 1'
_cell_length_a 6.373
_cell_length_b 6.818
_cell_length_c 8.269
_cell_angle_alpha 94.53
_cell_angle_beta 90.24
_cell_angle_gamma 116.62
loop_
_atom_site_label
_atom_site_type_symbol
_atom_site_fract_x
_atom_site_fract_y
_atom_site_fract_z
Mg1 Mg 0.000 0.000 0.000
Tl1 Tl 0.256 0.371 0.314
Tl2 Tl 0.565 0.001 0.665
Tl3 Tl 0.835 0.464 0.006
Tl4 Tl 0.878 0.647 0.521
Mo1 Mo 0.211 0.303 0.755
Mo2 Mo 0.474 0.960 0.198
O1 O 0.007 0.384 0.659
O2 O 0.057 0.988 0.761
O3 O 0.156 0.877 0.136
O4 O 0.176 0.329 0.988
O5 O 0.466 0.789 0.365
O6 O 0.511 0.390 0.692
O7 O 0.596 0.261 0.256
O8 O 0.678 0.942 0.043
```

Largest 6 diffraction maxima, low angle first, 2θ from 15° to 90°:
25.0°, I 67; 25.8°, I 58; 26.3°, I 52; 27.3°, I 100; 27.4°, I 62; 28.0°, I 83

[2]
Li9Mn2Co5O16: computed PXRD pattern (copper Kα), based on a DFT-relaxed cell (GGA+U, the Materials Project).
Kinematic intensities with the Lorentz-polarization factor, no thermal factor.

Crystal structure
```
data_Li9Mn2Co5O16
_chemical_formula_sum 'Li9 Mn2 Co5 O16'
_space_group_name_H-M_alt 'P -1'
_space_group_IT_number 2
_space_group_name_Hall '-P 1'
_cell_length_a 3.016
_cell_length_b 7.782
_cell_length_c 12.517
_cell_angle_alpha 89.42
_cell_angle_beta 89.80
_cell_angle_gamma 83.27
loop_
_atom_site_label
_atom_site_type_symbol
_atom_site_fract_x
_atom_site_fract_y
_atom_site_fract_z
Li1 Li 0.000 0.000 0.000
Li2 Li 0.054 0.877 0.689
Li3 Li 0.184 0.625 0.058
Li4 Li 0.307 0.376 0.440
Li5 Li 0.445 0.120 0.816
Mn1 Mn 0.250 0.500 0.751
Co1 Co 0.106 0.753 0.375
Co2 Co 0.391 0.237 0.121
Co3 Co 0.500 0.000 0.500
O1 O 0.009 0.925 0.846
O2 O 0.061 0.819 0.522
O3 O 0.131 0.687 0.226
O4 O 0.233 0.571 0.898
O5 O 0.259 0.431 0.601
O6 O 0.373 0.312 0.270
O7 O 0.397 0.198 0.984
O8 O 0.493 0.930 0.350
```

Largest 6 diffraction maxima, low angle first, 2θ from 15° to 90°:
18.3°, I 100; 34.1°, I 22; 36.4°, I 13; 40.9°, I 35; 44.3°, I 27; 44.9°, I 25

[3]
Li3Fe8B8O24: computed PXRD pattern (copper Kα), based on a DFT-relaxed cell (GGA+U, the Materials Project).
Kinematic intensities with the Lorentz-polarization factor, no thermal factor.

Crystal structure
```
data_Li3Fe8B8O24
_chemical_formula_sum 'Li3 Fe8 B8 O24'
_space_group_name_H-M_alt 'P 1'
_space_group_IT_number 1
_space_group_name_Hall 'P 1'
_cell_length_a 5.233
_cell_length_b 9.167
_cell_length_c 11.331
_cell_angle_alpha 66.98
_cell_angle_beta 76.70
_cell_angle_gamma 89.42
loop_
_atom_site_label
_atom_site_type_symbol
_atom_site_fract_x
_atom_site_fract_y
_atom_site_fract_z
Li1 Li 0.000 0.000 0.000
Li2 Li 0.195 0.229 0.259
Li3 Li 0.509 0.504 0.994
Fe1 Fe 0.021 0.348 0.968
Fe2 Fe 0.227 0.573 0.227
Fe3 Fe 0.242 0.938 0.484
Fe4 Fe 0.464 0.155 0.715
Fe5 Fe 0.510 0.855 0.972
Fe6 Fe 0.715 0.062 0.231
Fe7 Fe 0.748 0.440 0.469
Fe8 Fe 0.966 0.651 0.719
B1 B 0.008 0.691 0.971
B2 B 0.230 0.914 0.210
B3 B 0.248 0.605 0.478
B4 B 0.454 0.811 0.732
B5 B 0.515 0.185 0.976
B6 B 0.717 0.390 0.223
B7 B 0.758 0.117 0.465
B8 B 0.958 0.317 0.722
O1 O 0.021 0.124 0.448
O2 O 0.023 0.430 0.766
O3 O 0.104 0.709 0.525
O4 O 0.110 0.194 0.728
O5 O 0.116 0.518 0.429
O6 O 0.219 0.824 0.694
O7 O 0.255 0.674 0.004
O8 O 0.341 0.008 0.259
O9 O 0.375 0.809 0.165
O10 O 0.387 0.312 0.981
O11 O 0.414 0.080 0.929
O12 O 0.467 0.408 0.202
O13 O 0.506 0.588 0.477
O14 O 0.525 0.929 0.775
O15 O 0.602 0.213 0.520
O16 O 0.611 0.693 0.735
O17 O 0.627 0.020 0.423
O18 O 0.726 0.329 0.677
O19 O 0.747 0.151 0.019
O20 O 0.834 0.478 0.275
O21 O 0.869 0.278 0.186
O22 O 0.870 0.818 0.975
O23 O 0.906 0.578 0.936
O24 O 0.976 0.930 0.197
```

Largest 6 diffraction maxima, low angle first, 2θ from 15° to 90°:
19.4°, I 36; 19.6°, I 63; 21.5°, I 100; 26.0°, I 33; 26.5°, I 44; 35.5°, I 76

[4]
CoSbP2O8: computed PXRD pattern (copper Kα), based on a DFT-relaxed cell (GGA+U, the Materials Project).
Kinematic intensities with the Lorentz-polarization factor, no thermal factor.

Crystal structure
```
data_CoSbP2O8
_chemical_formula_sum 'Co4 Sb4 P8 O32'
_space_group_name_H-M_alt 'P 1 m 1'
_space_group_IT_number 6
_space_group_name_Hall 'P -2y'
_cell_length_a 10.086
_cell_length_b 6.126
_cell_length_c 10.127
_cell_angle_alpha 90.00
_cell_angle_beta 92.01
_cell_angle_gamma 90.00
loop_
_atom_site_label
_atom_site_type_symbol
_atom_site_fract_x
_atom_site_fract_y
_atom_site_fract_z
Co1 Co 0.000 0.000 0.000
Co2 Co 0.055 0.500 0.464
Co3 Co 0.483 0.000 0.017
Co4 Co 0.571 0.500 0.446
Sb1 Sb 0.251 0.500 0.941
Sb2 Sb 0.301 0.000 0.503
Sb3 Sb 0.754 0.500 0.962
Sb4 Sb 0.804 0.000 0.523
P1 P 0.081 0.000 0.322
P2 P 0.216 0.000 0.820
P3 P 0.335 0.500 0.629
P4 P 0.478 0.500 0.135
P5 P 0.576 0.000 0.329
P6 P 0.720 0.000 0.835
P7 P 0.839 0.500 0.644
P8 P 0.974 0.500 0.142
O1 O 0.103 0.000 0.175
O2 O 0.120 0.500 0.111
O3 O 0.138 0.196 0.878
O4 O 0.161 0.194 0.400
O5 O 0.185 0.500 0.617
O6 O 0.191 0.000 0.664
O7 O 0.363 0.000 0.852
O8 O 0.391 0.500 0.771
O9 O 0.396 0.293 0.554
O10 O 0.409 0.303 0.063
O11 O 0.421 0.000 0.352
O12 O 0.461 0.500 0.282
O13 O 0.593 0.000 0.183
O14 O 0.634 0.500 0.112
O15 O 0.645 0.197 0.402
O16 O 0.658 0.207 0.911
O17 O 0.664 0.000 0.694
O18 O 0.692 0.500 0.611
O19 O 0.863 0.500 0.801
O20 O 0.869 0.000 0.848
O21 O 0.894 0.307 0.064
O22 O 0.917 0.303 0.586
O23 O 0.934 0.000 0.353
O24 O 0.952 0.500 0.289
```

Largest 6 diffraction maxima, low angle first, 2θ from 15° to 90°:
17.5°, I 100; 24.3°, I 68; 24.7°, I 69; 29.2°, I 79; 34.7°, I 54; 35.7°, I 42